The following is a theoretical XRD peak list of KIrW2. It was derived from a PBE-relaxed structure, using Cu Kα.
Intensities are scaled so that the largest is 100.

Peak list (10 most intense, 10 to 90 degrees two-theta, most intense first)
h k l  2θ (°)  d [Å]  intensity
1 0 4  38.37  2.346  100
0 0 15  41.67  2.167  56
0 1 8  43.11  2.098  55
0 1 11  48.25  1.886  35
1 1 15  81.21  1.185  25
1 0 19  66.67  1.403  24
0 0 12  33.06  2.710  23
1 1 0  66.05  1.414  22
1 1 12  75.88  1.254  12
0 1 26  87.60  1.114  12

Cell lengths 2.8289, 2.8289, 32.5165 Å; angles 90.00, 90.00, 120.00 degrees
Space group R-3m (No. 166, hexagonal axes)
Symmetry-distinct sites (fractional):
1 K 0.0000 0.0000 0.0000 x3
2 Ir 0.0000 0.0000 0.5000 x3
3 W 0.0000 0.0000 0.2350 x6

The following is a theoretical XRD peak list of TbP2Pt8. It was derived from a PBE-relaxed structure, using Cu Kα.
Intensities are scaled so that the largest is 100.

Peak list (10 most intense, 10 to 90 degrees two-theta, most intense first)
h k l  2θ (°)  d [Å]  intensity
2 0 4  41.23  2.190  100
2 0 0  32.83  2.728  72
0 0 4  24.25  3.671  49
2 2 0  47.11  1.929  48
2 0 6  50.07  1.822  32
0 0 2  12.06  7.341  29
4 2 4  83.50  1.158  27
0 0 6  36.73  2.447  26
2 2 6  61.18  1.515  24
2 2 4  53.67  1.708  24

Cell lengths 5.456, 5.456, 14.682 Å; angles 90.00, 90.00, 90.00 degrees
Space group I4/mmm (No. 139)
Symmetry-distinct sites (fractional):
1 Tb 0.000 0.000 0.000 x2
2 P 0.000 0.500 0.250 x4
3 Pt 0.247 0.247 0.351 x16